ZnH6C2O6: theoretical X-ray diffraction stick pattern (Cu Kα, 1.54184 Å), based on a cell relaxed with GGA-PBE.
Lines closer than 0.1° are merged.

Structure:
```
data_ZnH6C2O6
_space_group_name_H-M_alt 'P 1 21/c 1'
_space_group_IT_number 14
_cell_length_a 8.785
_cell_length_b 7.197
_cell_length_c 9.428
_cell_angle_alpha 90.00
_cell_angle_beta 97.61
_cell_angle_gamma 90.00
loop_
_space_group_symop_operation_xyz
'x,y,z'
'-x,-y,-z'
'-x,y+1/2,-z+1/2'
'x,-y+1/2,z+1/2'
loop_
_atom_site_label
_atom_site_type_symbol
_atom_site_fract_x
_atom_site_fract_y
_atom_site_fract_z
Zn1 Zn 0.000 0.000 0.000
Zn2 Zn 0.500 0.000 0.500
H1 H 0.029 0.154 0.273
H2 H 0.178 0.028 0.619
H3 H 0.196 0.101 0.232
H4 H 0.263 0.611 0.457
H5 H 0.287 0.106 0.991
H6 H 0.433 0.711 0.725
C1 C 0.178 0.613 0.073
C2 C 0.462 0.220 0.223
O1 O 0.065 0.718 0.090
O2 O 0.088 0.127 0.192
O3 O 0.220 0.016 0.932
O4 O 0.290 0.659 0.007
O5 O 0.399 0.099 0.294
O6 O 0.411 0.234 0.595
```

Top 8 peaks for 2θ = 5–70°, most intense first:
(1 1 -1), 17.89 deg, rel. 100
(1 1 1), 19.28 deg, rel. 73
(0 0 2), 18.99 deg, rel. 45
(2 0 0), 20.39 deg, rel. 36
(1 1 3), 34.18 deg, rel. 34
(3 1 -1), 33.49 deg, rel. 29
(0 2 2), 31.38 deg, rel. 20
(1 1 2), 25.95 deg, rel. 18